HoSn3Ru: simulated powder diffraction line list (a wavelength of 1.5418 Å), based on a GGA-PBE-relaxed structure.
Peak positions follow from Bragg's law for the DFT cell and can differ from measured ones.

Top 12 peaks for 10 to 80 degrees two-theta, in order of rising 2θ:
d/Å	Rel. int.
8.761	36
3.143	39
3.052	100
2.796	94
2.733	89
2.491	40
2.460	69
2.433	43
2.394	60
2.190	70
2.172	51
1.548	39

Structure:
Lattice parameters (Å, degrees): 8.855 8.855 6.307 98.23 98.23 87.19
Element x y z (fractional)
Ho 0.057 0.276 0.090
Ho 0.276 0.057 0.590
Ho 0.724 0.943 0.410
Ho 0.943 0.724 0.910
Sn 0.043 0.748 0.423
Sn 0.251 0.438 0.569
Sn 0.252 0.957 0.077
Sn 0.259 0.558 0.071
Sn 0.438 0.251 0.069
Sn 0.442 0.741 0.429
Sn 0.558 0.259 0.571
Sn 0.562 0.749 0.931
Sn 0.741 0.442 0.929
Sn 0.748 0.043 0.923
Sn 0.749 0.562 0.431
Sn 0.957 0.252 0.577
Ru 0.012 0.988 0.750
Ru 0.268 0.732 0.750
Ru 0.732 0.268 0.250
Ru 0.988 0.012 0.250

Al2Hg3: simulated powder diffraction line list (a wavelength of 1.5418 Å), based on a GGA-PBE-relaxed structure.
Peak positions follow from Bragg's law for the DFT cell and can differ from measured ones.

Top 12 peaks for 10 to 80 degrees two-theta, in order of rising 2θ:
d/Å	Rel. int.
5.277	19
3.518	21
2.959	22
2.782	26
2.690	100
2.167	53
2.111	15
1.800	12
1.716	27
1.542	12
1.447	15
1.331	21

Structure:
Lattice parameters (Å, degrees): 3.432 3.432 31.661 90.00 90.00 120.00
Element x y z (fractional)
Al 0.000 0.000 0.102
Al 0.000 0.000 0.898
Al 0.333 0.667 0.565
Al 0.333 0.667 0.768
Al 0.667 0.333 0.232
Al 0.667 0.333 0.435
Hg 0.000 0.000 0.296
Hg 0.000 0.000 0.500
Hg 0.000 0.000 0.704
Hg 0.333 0.667 0.167
Hg 0.333 0.667 0.371
Hg 0.333 0.667 0.962
Hg 0.667 0.333 0.038
Hg 0.667 0.333 0.629
Hg 0.667 0.333 0.833

NiAu: simulated powder diffraction line list (a wavelength of 1.5418 Å), based on a GGA-PBE-relaxed structure.
Peak positions follow from Bragg's law for the DFT cell and can differ from measured ones.

Top 12 peaks for 10 to 80 degrees two-theta, in order of rising 2θ:
d/Å	Rel. int.
3.570	17
3.302	19
2.232	100
2.024	17
1.989	16
1.808	12
1.704	6
1.419	10
1.405	4
1.348	9
1.338	9
1.205	12

Structure:
Lattice parameters (Å, degrees): 3.617 3.978 8.095 90.00 90.00 90.00
Element x y z (fractional)
Ni 0.000 0.250 0.135
Ni 0.000 0.750 0.865
Ni 0.500 0.250 0.365
Ni 0.500 0.750 0.635
Au 0.000 0.250 0.620
Au 0.000 0.750 0.380
Au 0.500 0.250 0.880
Au 0.500 0.750 0.120

IrRh3: simulated powder diffraction line list (a wavelength of 1.5418 Å), based on a GGA-PBE-relaxed structure.
Peak positions follow from Bragg's law for the DFT cell and can differ from measured ones.

Top 12 peaks for 10 to 80 degrees two-theta, in order of rising 2θ:
d/Å	Rel. int.
4.647	5
4.445	4
3.534	2
2.965	1
2.604	2
2.323	2
2.223	100
2.005	1
1.926	48
1.767	1
1.482	1
1.362	31

Structure:
Lattice parameters (Å, degrees): 9.027 2.723 4.719 90.00 100.02 90.00
Element x y z (fractional)
Ir 0.000 0.000 0.000
Ir 0.500 0.500 0.000
Rh 0.000 0.500 0.500
Rh 0.248 0.500 0.247
Rh 0.252 0.000 0.753
Rh 0.500 0.000 0.500
Rh 0.748 0.000 0.247
Rh 0.752 0.500 0.753

NaCeAg2F8: simulated powder diffraction line list (a wavelength of 1.5418 Å), based on a GGA-PBE-relaxed structure.
Peak positions follow from Bragg's law for the DFT cell and can differ from measured ones.

Top 12 peaks for 10 to 80 degrees two-theta, in order of rising 2θ:
d/Å	Rel. int.
7.750	22
4.570	33
3.626	20
3.321	100
3.197	84
2.817	21
2.051	24
1.996	83
1.937	17
1.726	27
1.696	13
1.674	24

Structure:
Lattice parameters (Å, degrees): 4.103 5.658 7.750 90.00 90.00 90.00
Element x y z (fractional)
Na 0.000 0.000 0.000
Ce 0.000 0.000 0.500
Ag 0.500 0.500 0.229
Ag 0.500 0.500 0.771
F 0.000 0.236 0.276
F 0.000 0.236 0.724
F 0.000 0.764 0.276
F 0.000 0.764 0.724
F 0.500 0.227 0.500
F 0.500 0.259 0.000
F 0.500 0.741 0.000
F 0.500 0.773 0.500

Y5Te5N: simulated powder diffraction line list (a wavelength of 1.5418 Å), based on a GGA-PBE-relaxed structure.
Peak positions follow from Bragg's law for the DFT cell and can differ from measured ones.

Top 12 peaks for 10 to 80 degrees two-theta, in order of rising 2θ:
d/Å	Rel. int.
3.010	100
2.973	85
2.925	72
2.865	31
2.516	29
2.115	64
2.096	78
2.077	23
1.719	25
1.709	33
1.343	14
1.338	12

Structure:
Lattice parameters (Å, degrees): 7.259 7.259 8.374 107.60 107.60 49.00
Element x y z (fractional)
Y 0.000 0.000 0.000
Y 0.352 0.352 0.138
Y 0.364 0.364 0.724
Y 0.636 0.636 0.276
Y 0.648 0.648 0.862
Te 0.157 0.157 0.808
Te 0.178 0.178 0.337
Te 0.500 0.500 0.500
Te 0.822 0.822 0.663
Te 0.843 0.843 0.192
N 0.500 0.500 0.000

Sr2ErIr3O12: simulated powder diffraction line list (a wavelength of 1.5418 Å), based on a GGA-PBE-relaxed structure.
Peak positions follow from Bragg's law for the DFT cell and can differ from measured ones.

Top 12 peaks for 10 to 80 degrees two-theta, in order of rising 2θ:
d/Å	Rel. int.
5.847	64
5.201	32
3.091	76
2.983	88
2.924	100
2.797	40
2.601	26
2.452	25
1.949	28
1.821	70
1.659	31
1.492	27

Structure:
Lattice parameters (Å, degrees): 6.688 6.688 6.688 65.97 65.97 65.97
Element x y z (fractional)
Sr 0.113 0.113 0.113
Sr 0.887 0.887 0.887
Er 0.500 0.500 0.500
Ir 0.000 0.500 0.500
Ir 0.500 0.000 0.500
Ir 0.500 0.500 0.000
O 0.098 0.634 0.634
O 0.205 0.205 0.628
O 0.205 0.628 0.205
O 0.366 0.366 0.902
O 0.366 0.902 0.366
O 0.372 0.795 0.795
O 0.628 0.205 0.205
O 0.634 0.098 0.634
O 0.634 0.634 0.098
O 0.795 0.372 0.795
O 0.795 0.795 0.372
O 0.902 0.366 0.366

Pa3GaTe8: simulated powder diffraction line list (a wavelength of 1.5418 Å), based on a GGA-PBE-relaxed structure.
Peak positions follow from Bragg's law for the DFT cell and can differ from measured ones.

Top 12 peaks for 10 to 80 degrees two-theta, in order of rising 2θ:
d/Å	Rel. int.
7.006	65
6.707	40
3.733	21
3.685	23
3.354	100
2.957	98
2.582	31
2.260	52
2.205	74
1.993	22
1.768	22
1.372	30

Structure:
Lattice parameters (Å, degrees): 8.821 8.821 14.013 90.00 90.00 120.00
Element x y z (fractional)
Pa 0.166 0.332 0.000
Pa 0.166 0.834 0.000
Pa 0.332 0.166 0.500
Pa 0.668 0.834 0.000
Pa 0.834 0.166 0.500
Pa 0.834 0.668 0.500
Ga 0.333 0.667 0.242
Ga 0.667 0.333 0.742
Te 0.000 0.000 0.124
Te 0.000 0.000 0.624
Te 0.017 0.508 0.122
Te 0.162 0.324 0.387
Te 0.162 0.838 0.387
Te 0.324 0.162 0.887
Te 0.333 0.667 0.877
Te 0.492 0.508 0.122
Te 0.492 0.983 0.122
Te 0.508 0.017 0.622
Te 0.508 0.492 0.622
Te 0.667 0.333 0.377
Te 0.676 0.838 0.387
Te 0.838 0.162 0.887
Te 0.838 0.676 0.887
Te 0.983 0.492 0.622